(1)
Zn9Fe4: computed powder diffractogram (a wavelength of 1.5418 Å), based on a cell relaxed with GGA-PBE.
Intensities are scaled so that the largest is 100.

The 10 most intense peaks (10° ≤ 2θ ≤ 80°), sorted by position:
2θ (°)  I/Imax
34.74  7.2
37.62  8.8
42.89  100.0
47.68  10.5
49.94  5.2
62.27  5.0
71.53  5.5
73.31  5.9
75.08  6.4
78.58  14.8

Atomic structure:
```
data_Zn9Fe4
_cell_length_a 7.748
_cell_length_b 7.748
_cell_length_c 7.748
_cell_angle_alpha 109.47
_cell_angle_beta 109.47
_cell_angle_gamma 109.47
_symmetry_space_group_name_H-M 'P 1'
_symmetry_Int_Tables_number 1
loop_
_symmetry_equiv_pos_as_xyz
'x,y,z'
loop_
_atom_site_label
_atom_site_type_symbol
_atom_site_fract_x
_atom_site_fract_y
_atom_site_fract_z
Zn1 Zn 0.000 0.247 0.642
Zn2 Zn 0.000 0.356 0.356
Zn3 Zn 0.000 0.642 0.247
Zn4 Zn 0.000 0.644 0.644
Zn5 Zn 0.247 0.000 0.642
Zn6 Zn 0.247 0.642 0.000
Zn7 Zn 0.356 0.000 0.356
Zn8 Zn 0.356 0.356 0.000
Zn9 Zn 0.358 0.358 0.605
Zn10 Zn 0.358 0.605 0.358
Zn11 Zn 0.395 0.753 0.753
Zn12 Zn 0.605 0.358 0.358
Zn13 Zn 0.642 0.000 0.247
Zn14 Zn 0.642 0.247 0.000
Zn15 Zn 0.644 0.000 0.644
Zn16 Zn 0.644 0.644 0.000
Zn17 Zn 0.753 0.395 0.753
Zn18 Zn 0.753 0.753 0.395
Fe1 Fe 0.000 0.000 0.316
Fe2 Fe 0.000 0.000 0.794
Fe3 Fe 0.000 0.316 0.000
Fe4 Fe 0.000 0.794 0.000
Fe5 Fe 0.206 0.206 0.206
Fe6 Fe 0.316 0.000 0.000
Fe7 Fe 0.684 0.684 0.684
Fe8 Fe 0.794 0.000 0.000
```

(2)
Zn2Fe3: computed powder diffractogram (a wavelength of 1.5418 Å), based on a cell relaxed with GGA-PBE.
Intensities are scaled so that the largest is 100.

The 7 most intense peaks (10° ≤ 2θ ≤ 80°), sorted by position:
2θ (°)  I/Imax
16.40  0.8
24.70  0.7
41.77  35.9
42.63  100.0
49.38  63.4
71.81  18.8
73.02  17.9

Atomic structure:
```
data_Zn2Fe3
_cell_length_a 10.915
_cell_length_b 10.915
_cell_length_c 10.915
_cell_angle_alpha 13.64
_cell_angle_beta 13.64
_cell_angle_gamma 13.64
_symmetry_space_group_name_H-M 'P 1'
_symmetry_Int_Tables_number 1
loop_
_symmetry_equiv_pos_as_xyz
'x,y,z'
loop_
_atom_site_label
_atom_site_type_symbol
_atom_site_fract_x
_atom_site_fract_y
_atom_site_fract_z
Zn1 Zn 0.100 0.100 0.100
Zn2 Zn 0.900 0.900 0.900
Fe1 Fe 0.300 0.300 0.300
Fe2 Fe 0.500 0.500 0.500
Fe3 Fe 0.700 0.700 0.700
```

(3)
Zn3Fe: computed powder diffractogram (a wavelength of 1.5418 Å), based on a cell relaxed with GGA-PBE.
Intensities are scaled so that the largest is 100.

The 8 most intense peaks (10° ≤ 2θ ≤ 80°), sorted by position:
2θ (°)  I/Imax
20.44  1.0
41.22  100.0
41.57  97.6
46.89  33.9
48.80  59.9
70.00  37.6
71.01  9.0
71.98  8.6

Atomic structure:
```
data_Zn3Fe
_cell_length_a 4.680
_cell_length_b 4.680
_cell_length_c 2.655
_cell_angle_alpha 90.00
_cell_angle_beta 90.00
_cell_angle_gamma 111.80
_symmetry_space_group_name_H-M 'P 1'
_symmetry_Int_Tables_number 1
loop_
_symmetry_equiv_pos_as_xyz
'x,y,z'
loop_
_atom_site_label
_atom_site_type_symbol
_atom_site_fract_x
_atom_site_fract_y
_atom_site_fract_z
Zn1 Zn 0.000 0.000 0.000
Zn2 Zn 0.000 0.500 0.500
Zn3 Zn 0.500 0.000 0.500
Fe1 Fe 0.500 0.500 0.000
```

(4)
Zn8Fe3: computed powder diffractogram (a wavelength of 1.5418 Å), based on a cell relaxed with GGA-PBE.
Intensities are scaled so that the largest is 100.

The 10 most intense peaks (10° ≤ 2θ ≤ 80°), sorted by position:
2θ (°)  I/Imax
27.21  23.2
27.38  8.4
31.57  76.4
45.14  100.0
45.36  98.0
53.58  10.1
56.13  13.9
65.92  29.1
74.77  10.8
75.10  10.5

Atomic structure:
```
data_Zn8Fe3
_cell_length_a 5.668
_cell_length_b 5.668
_cell_length_c 5.668
_cell_angle_alpha 90.27
_cell_angle_beta 90.27
_cell_angle_gamma 90.27
_symmetry_space_group_name_H-M 'P 1'
_symmetry_Int_Tables_number 1
loop_
_symmetry_equiv_pos_as_xyz
'x,y,z'
loop_
_atom_site_label
_atom_site_type_symbol
_atom_site_fract_x
_atom_site_fract_y
_atom_site_fract_z
Zn1 Zn 0.240 0.240 0.240
Zn2 Zn 0.240 0.240 0.758
Zn3 Zn 0.240 0.758 0.240
Zn4 Zn 0.242 0.760 0.760
Zn5 Zn 0.758 0.240 0.240
Zn6 Zn 0.760 0.242 0.760
Zn7 Zn 0.760 0.760 0.242
Zn8 Zn 0.760 0.760 0.760
Fe1 Fe 0.000 0.500 0.500
Fe2 Fe 0.500 0.000 0.500
Fe3 Fe 0.500 0.500 0.000
```